# 1
Theoretical X-ray powder pattern
Compound: Na2Cd2In7
Radiation: Cu Kα, 1.54184 Å
Structure: DFT lattice parameters and positions (PBE)

a = 5.1825 Å, b = 6.6061 Å, c = 9.1870 Å
α = 77.93°, β = 75.77°, γ = 89.26°
Positions (direct):
Na: 0.0970 0.1080 0.2923
Na: 0.9030 0.8920 0.7077
Cd: 0.3165 0.0555 0.8895
Cd: 0.6835 0.9445 0.1105
In: 0.0000 0.5000 0.5000
In: 0.1612 0.6741 0.1433
In: 0.3593 0.5773 0.8086
In: 0.4768 0.2183 0.5439
In: 0.5232 0.7817 0.4561
In: 0.6407 0.4227 0.1914
In: 0.8388 0.3259 0.8567

Most intense lines, 5 to 70 degrees two-theta, in order of rising 2θ:
2theta  I (rel.)  h k l
30.83  62  0 0 3
31.00  48  0 1 3
31.94  48  1 2 1
32.37  33  1 -2 0
33.57  100  -1 2 1
34.65  89  2 0 1
35.56  51  1 1 -2
36.91  41  1 -1 3

---

# 2
Theoretical X-ray powder pattern
Compound: Na7Cd4In
Radiation: Cu Kα, 1.54184 Å
Structure: DFT lattice parameters and positions (PBE)

a = 5.3495 Å, b = 5.3495 Å, c = 13.2409 Å
α = 90.00°, β = 90.00°, γ = 120.00°
Positions (direct):
Na: 0.0000 0.0000 0.0000
Na: 0.0000 0.0000 0.2550
Na: 0.0000 0.0000 0.7450
Na: 0.3333 0.6667 0.0895
Na: 0.3333 0.6667 0.3608
Na: 0.6667 0.3333 0.6392
Na: 0.6667 0.3333 0.9105
Cd: 0.3333 0.6667 0.6021
Cd: 0.3333 0.6667 0.8323
Cd: 0.6667 0.3333 0.1677
Cd: 0.6667 0.3333 0.3979
In: 0.0000 0.0000 0.5000

Most intense lines, 5 to 70 degrees two-theta, in order of rising 2θ:
2theta  I (rel.)  h k l
6.68  54  0 0 1
20.31  75  0 1 1
33.27  92  0 1 4
33.50  100  1 1 0
39.18  21  1 0 5
47.93  32  2 0 4
59.74  32  1 2 4
59.90  17  3 0 0